CsPrEr4S8: computed powder X-ray diffraction pattern (Cu Kα), based on a crystal structure in Alexandria, relaxed with GGA-PBE.
Peak positions follow from Bragg's law for the DFT cell and can differ from measured ones.

The 10 most intense peaks (10° ≤ 2θ ≤ 80°), low angle first:
21.0°, intensity 32, hkl 1 0 4
24.6°, intensity 44, hkl 0 1 5
25.1°, intensity 100, hkl 1 1 3
25.4°, intensity 63, hkl 0 2 1
30.3°, intensity 40, hkl 0 2 4
39.2°, intensity 29, hkl 0 2 7
39.7°, intensity 33, hkl 1 2 5
40.1°, intensity 31, hkl 0 3 3
42.7°, intensity 56, hkl 2 0 8
44.0°, intensity 55, hkl 2 2 0

Cell and atoms:
Cell lengths 8.2314, 8.2314, 21.0382 Å; angles 90.00, 90.00, 120.00 degrees
Space group R3m (No. 160, hexagonal axes)
Inequivalent atoms, fractional coordinates:
Cs 0.0000 0.0000 0.0000
Pr 0.0000 0.0000 0.6396
Er 0.0000 0.0000 0.2593
Er 0.1719 0.3438 0.4653
S 0.0000 0.0000 0.3900
S 0.0000 0.0000 0.8587
S 0.0477 0.5239 0.3961
S 0.1731 0.3462 0.2133


Cs3Er3PuSe8: computed powder X-ray diffraction pattern (Cu Kα), based on a crystal structure in Alexandria, relaxed with GGA-PBE.
Peak positions follow from Bragg's law for the DFT cell and can differ from measured ones.

The 10 most intense peaks (10° ≤ 2θ ≤ 80°), low angle first:
10.4°, intensity 44, hkl 0 0 3
20.8°, intensity 12, hkl 0 0 6
25.5°, intensity 12, hkl 2 0 2
28.3°, intensity 100, hkl 0 2 4
34.9°, intensity 16, hkl 0 2 7
37.5°, intensity 33, hkl 2 0 8
43.3°, intensity 48, hkl 2 2 0
52.5°, intensity 18, hkl 4 0 4
70.3°, intensity 15, hkl 2 4 4
79.3°, intensity 11, hkl 6 0 0

Cell and atoms:
Cell lengths 8.3690, 8.3690, 25.5657 Å; angles 90.00, 90.00, 120.00 degrees
Space group R-3m (No. 166, hexagonal axes)
Inequivalent atoms, fractional coordinates:
Cs 0.0000 0.5000 0.0000
Er 0.0000 0.5000 0.5000
Pu 0.0000 0.0000 0.5000
Se 0.0000 0.0000 0.2276
Se 0.0013 0.5007 0.2270


CsEr5S8: computed powder X-ray diffraction pattern (Cu Kα), based on a crystal structure in Alexandria, relaxed with GGA-PBE.
Peak positions follow from Bragg's law for the DFT cell and can differ from measured ones.

The 10 most intense peaks (10° ≤ 2θ ≤ 80°), low angle first:
18.2°, intensity 82, hkl 4 0 -1
18.8°, intensity 58, hkl 0 0 2
22.9°, intensity 86, hkl 2 0 2
26.3°, intensity 79, hkl 3 1 0
26.8°, intensity 87, hkl 3 1 -1
29.0°, intensity 60, hkl 6 0 -2
29.1°, intensity 56, hkl 3 1 1
36.3°, intensity 100, hkl 3 1 -3
41.6°, intensity 69, hkl 3 1 3
46.4°, intensity 92, hkl 9 1 -1

Cell and atoms:
Cell lengths 20.2522, 3.9661, 9.7564 Å; angles 90.00, 104.58, 90.00 degrees
Space group C2/m (No. 12)
Inequivalent atoms, fractional coordinates:
Cs 0.0000 0.0000 0.0000
Er 0.0000 0.5000 0.5000
Er 0.1566 0.0000 0.4523
Er 0.2035 0.0000 0.8392
S 0.0792 0.0000 0.6435
S 0.0822 0.5000 0.3166
S 0.1706 0.5000 0.9889
S 0.2297 0.5000 0.6464


Cs3Tb2ErS6: computed powder X-ray diffraction pattern (Cu Kα), based on a crystal structure in Alexandria, relaxed with GGA-PBE.
Peak positions follow from Bragg's law for the DFT cell and can differ from measured ones.

The 10 most intense peaks (10° ≤ 2θ ≤ 80°), low angle first:
22.0°, intensity 33, hkl 0 0 2
26.1°, intensity 55, hkl 2 0 0
29.1°, intensity 100, hkl 1 3 1
39.1°, intensity 37, hkl 2 0 2
44.1°, intensity 33, hkl 0 6 0
45.3°, intensity 19, hkl 1 3 3
49.8°, intensity 23, hkl 3 3 1
53.7°, intensity 17, hkl 4 0 0
64.8°, intensity 13, hkl 3 3 3
71.9°, intensity 15, hkl 4 6 0

Cell and atoms:
Cell lengths 7.1155, 12.3248, 8.4084 Å; angles 90.00, 106.39, 90.00 degrees
Space group C2/m (No. 12)
Inequivalent atoms, fractional coordinates:
Cs 0.0000 0.0000 0.0000
Cs 0.0000 0.3329 0.0000
Tb 0.0000 0.1666 0.5000
Er 0.0000 0.5000 0.5000
S 0.2255 0.3349 0.6814
S 0.2304 0.0000 0.6816


Cs2Er2TiS6: computed powder X-ray diffraction pattern (Cu Kα), based on a crystal structure in Alexandria, relaxed with GGA-PBE.
Peak positions follow from Bragg's law for the DFT cell and can differ from measured ones.

The 10 most intense peaks (10° ≤ 2θ ≤ 80°), low angle first:
10.8°, intensity 44, hkl 0 0 1
16.8°, intensity 33, hkl 1 1 -1
21.7°, intensity 50, hkl 0 0 2
27.7°, intensity 61, hkl 1 3 -1
30.2°, intensity 51, hkl 2 0 -2
30.6°, intensity 100, hkl 1 3 1
39.7°, intensity 36, hkl 1 3 -3
40.0°, intensity 23, hkl 2 0 2
47.0°, intensity 34, hkl 3 3 -1
57.1°, intensity 23, hkl 4 0 0

Cell and atoms:
Cell lengths 6.7104, 11.5317, 8.5365 Å; angles 90.00, 105.97, 90.00 degrees
Space group C2/m (No. 12)
Inequivalent atoms, fractional coordinates:
Cs 0.0000 0.1702 0.0000
Er 0.0000 0.3329 0.5000
Ti 0.0000 0.0000 0.5000
S 0.2154 0.1535 0.6735
S 0.2465 0.0000 0.3285


CsErSe4: computed powder X-ray diffraction pattern (Cu Kα), based on a crystal structure in Alexandria, relaxed with GGA-PBE.
Peak positions follow from Bragg's law for the DFT cell and can differ from measured ones.

The 10 most intense peaks (10° ≤ 2θ ≤ 80°), low angle first:
20.0°, intensity 19, hkl 1 1 0
28.1°, intensity 100, hkl 1 1 2
28.4°, intensity 19, hkl 2 0 0
33.4°, intensity 41, hkl 2 1 1
34.8°, intensity 41, hkl 2 0 2
37.7°, intensity 17, hkl 2 1 2
45.0°, intensity 16, hkl 1 1 4
45.5°, intensity 15, hkl 2 2 2
45.6°, intensity 38, hkl 3 1 0
62.6°, intensity 18, hkl 4 0 2

Cell and atoms:
Cell lengths 6.2862, 6.2862, 9.0497 Å; angles 90.00, 90.00, 90.00 degrees
Space group P4/nbm (No. 125, origin choice 2)
Inequivalent atoms, fractional coordinates:
Cs 0.2500 0.2500 0.0000
Er 0.2500 0.2500 0.5000
Se 0.1128 0.6128 0.3124


CsEr3Se5: computed powder X-ray diffraction pattern (Cu Kα), based on a crystal structure in Alexandria, relaxed with GGA-PBE.
Peak positions follow from Bragg's law for the DFT cell and can differ from measured ones.

The 10 most intense peaks (10° ≤ 2θ ≤ 80°), low angle first:
10.7°, intensity 28, hkl 2 0 1
18.7°, intensity 47, hkl 3 0 2
30.5°, intensity 100, hkl 0 1 3
30.8°, intensity 96, hkl 1 1 3
32.5°, intensity 48, hkl 8 0 0
33.3°, intensity 24, hkl 8 0 1
43.8°, intensity 31, hkl 1 0 6
43.9°, intensity 58, hkl 0 2 0
45.2°, intensity 42, hkl 8 1 3
55.7°, intensity 24, hkl 8 2 0

Cell and atoms:
Cell lengths 22.0668, 4.1245, 12.4584 Å; angles 90.00, 90.00, 90.00 degrees
Space group Pnma (No. 62)
Inequivalent atoms, fractional coordinates:
Cs 0.0927 0.2500 0.1486
Er 0.0540 0.7500 0.6078
Er 0.1741 0.2500 0.7977
Er 0.1986 0.2500 0.4585
Se 0.0471 0.2500 0.7632
Se 0.0693 0.2500 0.4488
Se 0.1735 0.7500 0.9495
Se 0.1848 0.7500 0.6269
Se 0.1982 0.7500 0.3084


CsErSe: computed powder X-ray diffraction pattern (Cu Kα), based on a crystal structure in Alexandria, relaxed with GGA-PBE.
Peak positions follow from Bragg's law for the DFT cell and can differ from measured ones.

The 10 most intense peaks (10° ≤ 2θ ≤ 80°), low angle first:
10.4°, intensity 40, hkl 2 0 0
20.8°, intensity 39, hkl 4 0 0
26.0°, intensity 29, hkl 5 0 0
26.2°, intensity 45, hkl 0 0 2
26.6°, intensity 58, hkl 1 1 1
30.5°, intensity 100, hkl 3 1 1
33.7°, intensity 45, hkl 4 0 2
37.2°, intensity 58, hkl 5 1 1
41.2°, intensity 25, hkl 6 1 1
46.4°, intensity 33, hkl 1 1 3

Cell and atoms:
Cell lengths 17.0923, 3.9612, 6.8026 Å; angles 90.00, 90.00, 90.00 degrees
Space group Amm2 (No. 38)
Inequivalent atoms, fractional coordinates:
Cs 0.1427 0.0000 0.0000
Er 0.3919 0.0000 0.5575
Se 0.0000 0.0000 0.6630
Se 0.5000 0.0000 0.8920